HfSbH3: simulated powder X-ray diffraction pattern (copper Kα), based on a structure optimized by DFT (PBE).
Kinematic intensities with the Lorentz-polarization factor, no thermal factor.

Cell and atoms:
Cell lengths 7.442, 3.368, 9.373 Å; angles 90.00, 90.00, 90.00 degrees
Element x y z (fractional)
Hf 0.100 0.250 0.145
Hf 0.400 0.750 0.645
Hf 0.600 0.250 0.355
Hf 0.900 0.750 0.855
Sb 0.159 0.250 0.459
Sb 0.341 0.750 0.959
Sb 0.659 0.250 0.041
Sb 0.841 0.750 0.541
H 0.039 0.250 0.929
H 0.125 0.750 0.249
H 0.143 0.750 0.735
H 0.357 0.250 0.235
H 0.375 0.250 0.749
H 0.461 0.750 0.429
H 0.539 0.250 0.571
H 0.625 0.750 0.251
H 0.643 0.750 0.765
H 0.857 0.250 0.265
H 0.875 0.250 0.751
H 0.961 0.750 0.071

Largest 6 diffraction maxima, sorted by position, 10° ≤ 2θ ≤ 90°:
2theta	I/Imax
25.76	80
28.16	71
31.04	61
35.97	100
41.22	72
54.51	40


Hf6SbH2: simulated powder X-ray diffraction pattern (copper Kα), based on a structure optimized by DFT (PBE).
Kinematic intensities with the Lorentz-polarization factor, no thermal factor.

Cell and atoms:
Cell lengths 7.431, 7.431, 6.278 Å; angles 103.00, 103.00, 86.63 degrees
Element x y z (fractional)
Hf 0.039 0.195 0.153
Hf 0.079 0.638 0.305
Hf 0.195 0.039 0.653
Hf 0.321 0.406 0.026
Hf 0.362 0.921 0.195
Hf 0.406 0.321 0.526
Hf 0.594 0.679 0.474
Hf 0.638 0.079 0.805
Hf 0.679 0.594 0.974
Hf 0.805 0.961 0.347
Hf 0.921 0.362 0.695
Hf 0.961 0.805 0.847
Sb 0.315 0.685 0.750
Sb 0.685 0.315 0.250
H 0.199 0.314 0.701
H 0.314 0.199 0.201
H 0.686 0.801 0.799
H 0.801 0.686 0.299

Largest 6 diffraction maxima, sorted by position, 10° ≤ 2θ ≤ 90°:
2theta	I/Imax
32.81	59
34.33	55
34.89	100
37.02	49
37.26	17
38.40	32


Hf2SnSbH: simulated powder X-ray diffraction pattern (copper Kα), based on a structure optimized by DFT (PBE).
Kinematic intensities with the Lorentz-polarization factor, no thermal factor.

Cell and atoms:
Cell lengths 5.327, 5.327, 5.692 Å; angles 90.00, 90.00, 90.00 degrees
Element x y z (fractional)
Hf 0.000 0.500 0.000
Hf 0.500 0.000 0.000
Sn 0.000 0.000 0.500
Sb 0.000 0.000 0.000
H 0.500 0.500 0.500

Largest 6 diffraction maxima, sorted by position, 10° ≤ 2θ ≤ 90°:
2theta	I/Imax
15.57	100
16.64	82
28.41	97
31.43	54
33.65	89
46.71	72


Hf2ScTlH: simulated powder X-ray diffraction pattern (copper Kα), based on a structure optimized by DFT (PBE).
Kinematic intensities with the Lorentz-polarization factor, no thermal factor.

Cell and atoms:
Cell lengths 4.424, 4.424, 4.526 Å; angles 90.00, 90.00, 90.00 degrees
Element x y z (fractional)
Hf 0.000 0.500 0.000
Hf 0.500 0.000 0.000
Sc 0.000 0.000 0.500
Tl 0.500 0.500 0.500
H 0.000 0.000 0.000

Largest 6 diffraction maxima, sorted by position, 10° ≤ 2θ ≤ 90°:
2theta	I/Imax
34.86	100
39.83	18
40.79	33
58.33	23
69.12	14
70.45	26


Hf2H2Se: simulated powder X-ray diffraction pattern (copper Kα), based on a structure optimized by DFT (PBE).
Kinematic intensities with the Lorentz-polarization factor, no thermal factor.

Cell and atoms:
Cell lengths 6.343, 6.343, 6.343 Å; angles 127.29, 127.29, 77.77 degrees
Element x y z (fractional)
Hf 0.248 0.000 0.248
Hf 0.750 0.002 0.252
Hf 0.750 0.498 0.748
Hf 0.752 0.000 0.752
H 0.455 0.214 0.241
H 0.964 0.222 0.259
H 0.964 0.705 0.741
H 0.972 0.214 0.759
Se 0.268 0.768 0.500
Se 0.518 0.518 0.000

Largest 6 diffraction maxima, sorted by position, 10° ≤ 2θ ≤ 90°:
2theta	I/Imax
18.14	57
31.48	11
36.39	22
36.78	100
45.34	27
78.37	13


Hf2HSe4: simulated powder X-ray diffraction pattern (copper Kα), based on a structure optimized by DFT (PBE).
Kinematic intensities with the Lorentz-polarization factor, no thermal factor.

Cell and atoms:
Cell lengths 7.346, 7.621, 7.628 Å; angles 60.25, 61.22, 61.23 degrees
Element x y z (fractional)
Hf 0.000 0.000 0.000
Hf 0.000 0.000 0.500
Hf 0.000 0.500 0.000
Hf 0.500 0.000 0.000
H 0.480 0.271 0.270
H 0.520 0.729 0.730
Se 0.244 0.752 0.259
Se 0.245 0.259 0.752
Se 0.259 0.751 0.751
Se 0.262 0.249 0.249
Se 0.738 0.751 0.751
Se 0.741 0.249 0.249
Se 0.755 0.741 0.248
Se 0.756 0.248 0.741

Largest 6 diffraction maxima, sorted by position, 10° ≤ 2θ ≤ 90°:
2theta	I/Imax
14.11	55
14.52	48
27.51	29
32.69	55
33.83	100
47.75	75


Hf3HSe2: simulated powder X-ray diffraction pattern (copper Kα), based on a structure optimized by DFT (PBE).
Kinematic intensities with the Lorentz-polarization factor, no thermal factor.

Cell and atoms:
Cell lengths 8.850, 8.850, 8.850 Å; angles 156.87, 33.23, 156.47 degrees
Element x y z (fractional)
Hf 0.000 0.000 0.000
Hf 0.399 0.006 0.392
Hf 0.614 0.006 0.608
H 0.275 0.775 0.500
Se 0.173 0.002 0.171
Se 0.831 0.002 0.829

Largest 6 diffraction maxima, sorted by position, 10° ≤ 2θ ≤ 90°:
2theta	I/Imax
10.43	50
35.48	100
36.35	75
36.65	73
64.07	29
64.67	28


HfSiH: simulated powder X-ray diffraction pattern (copper Kα), based on a structure optimized by DFT (PBE).
Kinematic intensities with the Lorentz-polarization factor, no thermal factor.

Cell and atoms:
Cell lengths 5.204, 5.204, 5.204 Å; angles 138.37, 123.01, 73.01 degrees
Element x y z (fractional)
Hf 0.199 0.199 0.000
Hf 0.801 0.801 0.000
Si 0.253 0.500 0.753
Si 0.747 0.500 0.247
H 0.306 0.806 0.500
H 0.694 0.194 0.500

Largest 6 diffraction maxima, sorted by position, 10° ≤ 2θ ≤ 90°:
2theta	I/Imax
21.24	48
30.13	100
36.97	40
37.16	72
40.52	45
42.33	38


Hf6Si3H: simulated powder X-ray diffraction pattern (copper Kα), based on a structure optimized by DFT (PBE).
Kinematic intensities with the Lorentz-polarization factor, no thermal factor.

Cell and atoms:
Cell lengths 5.486, 7.225, 10.447 Å; angles 90.00, 121.58, 90.00 degrees
Element x y z (fractional)
Hf 0.083 0.165 0.447
Hf 0.083 0.335 0.947
Hf 0.329 0.688 0.444
Hf 0.329 0.812 0.944
Hf 0.407 0.036 0.273
Hf 0.407 0.464 0.773
Hf 0.593 0.536 0.227
Hf 0.593 0.964 0.727
Hf 0.671 0.188 0.056
Hf 0.671 0.312 0.556
Hf 0.917 0.665 0.053
Hf 0.917 0.835 0.553
Si 0.000 0.000 0.000
Si 0.000 0.500 0.500
Si 0.154 0.116 0.754
Si 0.154 0.384 0.254
Si 0.846 0.616 0.746
Si 0.846 0.884 0.246
H 0.500 0.000 0.500
H 0.500 0.500 0.000

Largest 6 diffraction maxima, sorted by position, 10° ≤ 2θ ≤ 90°:
2theta	I/Imax
31.91	100
34.36	93
34.99	95
35.96	81
36.47	92
36.62	80


Hf7Sn2H2: simulated powder X-ray diffraction pattern (copper Kα), based on a structure optimized by DFT (PBE).
Kinematic intensities with the Lorentz-polarization factor, no thermal factor.

Cell and atoms:
Cell lengths 5.935, 5.939, 5.992 Å; angles 94.78, 94.92, 99.65 degrees
Element x y z (fractional)
Hf 0.000 0.000 0.000
Hf 0.161 0.503 0.828
Hf 0.332 0.333 0.335
Hf 0.499 0.841 0.174
Hf 0.501 0.159 0.826
Hf 0.668 0.667 0.665
Hf 0.839 0.497 0.172
Sn 0.167 0.831 0.498
Sn 0.833 0.169 0.502
H 0.254 0.254 0.989
H 0.746 0.746 0.011

Largest 6 diffraction maxima, sorted by position, 10° ≤ 2θ ≤ 90°:
2theta	I/Imax
34.65	100
35.28	42
35.68	46
35.86	46
36.86	38
50.28	31


Hf6Sn3H: simulated powder X-ray diffraction pattern (copper Kα), based on a structure optimized by DFT (PBE).
Kinematic intensities with the Lorentz-polarization factor, no thermal factor.

Cell and atoms:
Cell lengths 5.911, 5.911, 7.228 Å; angles 103.88, 103.88, 59.28 degrees
Element x y z (fractional)
Hf 0.145 0.648 0.629
Hf 0.159 0.159 0.849
Hf 0.352 0.855 0.371
Hf 0.648 0.145 0.629
Hf 0.841 0.841 0.151
Hf 0.855 0.352 0.371
Sn 0.322 0.322 0.257
Sn 0.500 0.500 0.000
Sn 0.678 0.678 0.743
H 0.000 0.000 0.500

Largest 6 diffraction maxima, sorted by position, 10° ≤ 2θ ≤ 90°:
2theta	I/Imax
27.00	48
33.26	90
35.05	72
35.46	99
36.23	62
39.79	100


HfSnH2: simulated powder X-ray diffraction pattern (copper Kα), based on a structure optimized by DFT (PBE).
Kinematic intensities with the Lorentz-polarization factor, no thermal factor.

Cell and atoms:
Cell lengths 3.367, 3.367, 5.779 Å; angles 106.77, 106.77, 59.73 degrees
Element x y z (fractional)
Hf 0.000 0.000 0.000
Sn 0.187 0.187 0.554
H 0.377 0.377 0.123
H 0.688 0.688 0.055

Largest 6 diffraction maxima, sorted by position, 10° ≤ 2θ ≤ 90°:
2theta	I/Imax
31.20	100
32.87	38
37.94	41
41.37	21
41.61	41
65.31	21


Hf8Sn3H2: simulated powder X-ray diffraction pattern (copper Kα), based on a structure optimized by DFT (PBE).
Kinematic intensities with the Lorentz-polarization factor, no thermal factor.

Cell and atoms:
Cell lengths 8.905, 8.905, 8.905 Å; angles 39.10, 39.10, 39.10 degrees
Element x y z (fractional)
Hf 0.182 0.182 0.182
Hf 0.228 0.228 0.737
Hf 0.228 0.737 0.228
Hf 0.263 0.772 0.772
Hf 0.737 0.228 0.228
Hf 0.772 0.263 0.772
Hf 0.772 0.772 0.263
Hf 0.818 0.818 0.818
Sn 0.299 0.299 0.299
Sn 0.500 0.500 0.500
Sn 0.701 0.701 0.701
H 0.104 0.104 0.104
H 0.896 0.896 0.896

Largest 6 diffraction maxima, sorted by position, 10° ≤ 2θ ≤ 90°:
2theta	I/Imax
32.71	44
35.54	100
37.28	56
37.80	56
60.58	30
62.32	36